Entry 1:
For LiGaSe2O6, a DFT-relaxed cell (PBE, the Materials Project) gives the theoretical XRD peak list in this record (Cu Kα X-rays).
Peak positions follow from Bragg's law for the DFT cell and can differ from measured ones.

```
data_LiGaSe2O6
_space_group_name_H-M_alt 'I -4 2 d'
_space_group_IT_number 122
_space_group_name_Hall 'I -4 2bw'
_cell_length_a 10.7339
_cell_length_b 10.7339
_cell_length_c 10.0195
_cell_angle_alpha 90.00
_cell_angle_beta 90.00
_cell_angle_gamma 90.00
loop_
_atom_site_label
_atom_site_type_symbol
_atom_site_fract_x
_atom_site_fract_y
_atom_site_fract_z
Li1 Li 0.0642 0.2500 0.1250
Ga1 Ga 0.2123 0.7500 0.1250
Se1 Se 0.0535 0.7253 0.8407
O1 O 0.0732 0.7058 0.2535
O2 O 0.0826 0.2050 0.7900
O3 O 0.1587 0.6828 0.4989
```

Most intense lines, 10 to 80 degrees two-theta, by angle:
- 2θ 16.52, I = 96
- 2θ 23.44, I = 22
- 2θ 24.30, I = 100
- 2θ 26.25, I = 49
- 2θ 31.85, I = 58
- 2θ 32.66, I = 38
- 2θ 33.39, I = 22
- 2θ 39.92, I = 44
- 2θ 41.73, I = 21
- 2θ 46.45, I = 13
- 2θ 49.80, I = 12
- 2θ 58.09, I = 18


Entry 2:
For CeSe2, a DFT-relaxed cell (PBE, the Materials Project) gives the theoretical XRD peak list in this record (Cu Kα X-rays).
Peak positions follow from Bragg's law for the DFT cell and can differ from measured ones.

```
data_CeSe2
_space_group_name_H-M_alt 'P c c n'
_space_group_IT_number 56
_space_group_name_Hall '-P 2ab 2ac'
_cell_length_a 7.8787
_cell_length_b 13.7667
_cell_length_c 14.1716
_cell_angle_alpha 90.00
_cell_angle_beta 90.00
_cell_angle_gamma 90.00
loop_
_atom_site_label
_atom_site_type_symbol
_atom_site_fract_x
_atom_site_fract_y
_atom_site_fract_z
Ce1 Ce 0.1524 0.0626 0.1599
Se1 Se 0.0000 0.0000 0.0000
Se2 Se 0.0727 0.5493 0.1962
Se3 Se 0.2500 0.2500 0.1379
```

Most intense lines, 10 to 80 degrees two-theta, by angle:
- 2θ 12.49, I = 22
- 2θ 12.89, I = 100
- 2θ 14.06, I = 23
- 2θ 14.38, I = 27
- 2θ 16.83, I = 80
- 2θ 18.22, I = 37
- 2θ 27.61, I = 16
- 2θ 29.00, I = 28
- 2θ 32.32, I = 18
- 2θ 39.65, I = 25
- 2θ 39.79, I = 28
- 2θ 43.20, I = 10


Entry 3:
For HoTc2, a DFT-relaxed cell (PBE, the Materials Project) gives the theoretical XRD peak list in this record (Cu Kα X-rays).
Peak positions follow from Bragg's law for the DFT cell and can differ from measured ones.

```
data_HoTc2
_space_group_name_H-M_alt 'P 63/m m c'
_space_group_IT_number 194
_space_group_name_Hall '-P 6c 2c'
_cell_length_a 5.3587
_cell_length_b 5.3587
_cell_length_c 8.8792
_cell_angle_alpha 90.00
_cell_angle_beta 90.00
_cell_angle_gamma 120.00
loop_
_atom_site_label
_atom_site_type_symbol
_atom_site_fract_x
_atom_site_fract_y
_atom_site_fract_z
Ho1 Ho 0.3333 0.6667 0.0636
Tc1 Tc 0.0000 0.0000 0.0000
Tc2 Tc 0.1719 0.3438 0.7500
```

Most intense lines, 10 to 80 degrees two-theta, by angle:
- 2θ 33.44, I = 45
- 2θ 35.99, I = 89
- 2θ 38.81, I = 13
- 2θ 39.27, I = 100
- 2θ 40.17, I = 70
- 2θ 40.64, I = 13
- 2θ 59.78, I = 9
- 2θ 61.45, I = 33
- 2θ 63.71, I = 24
- 2θ 66.28, I = 35
- 2θ 70.26, I = 25
- 2θ 76.32, I = 16


Entry 4:
For MnInBr3, a DFT-relaxed cell (PBE, the Materials Project) gives the theoretical XRD peak list in this record (Cu Kα X-rays).
Peak positions follow from Bragg's law for the DFT cell and can differ from measured ones.

```
data_MnInBr3
_space_group_name_H-M_alt 'P n m a'
_space_group_IT_number 62
_space_group_name_Hall '-P 2ac 2n'
_cell_length_a 9.5849
_cell_length_b 4.0173
_cell_length_c 15.5003
_cell_angle_alpha 90.00
_cell_angle_beta 90.00
_cell_angle_gamma 90.00
loop_
_atom_site_label
_atom_site_type_symbol
_atom_site_fract_x
_atom_site_fract_y
_atom_site_fract_z
Mn1 Mn 0.1627 0.2500 0.0547
In1 In 0.0407 0.7500 0.3238
Br1 Br 0.0199 0.2500 0.8998
Br2 Br 0.1746 0.2500 0.4964
Br3 Br 0.2226 0.7500 0.7072
```

Most intense lines, 10 to 80 degrees two-theta, by angle:
- 2θ 19.52, I = 9
- 2θ 29.61, I = 100
- 2θ 30.29, I = 36
- 2θ 31.26, I = 29
- 2θ 33.46, I = 12
- 2θ 36.43, I = 8
- 2θ 36.61, I = 9
- 2θ 43.05, I = 18
- 2θ 45.13, I = 19
- 2θ 47.86, I = 11
- 2θ 53.33, I = 8
- 2θ 55.33, I = 12


Entry 5:
For SrFe4Sb12, a DFT-relaxed cell (PBE, the Materials Project) gives the theoretical XRD peak list in this record (Cu Kα X-rays).
Peak positions follow from Bragg's law for the DFT cell and can differ from measured ones.

```
data_SrFe4Sb12
_space_group_name_H-M_alt 'I m -3'
_space_group_IT_number 204
_space_group_name_Hall '-I 2 2 3'
_cell_length_a 9.2209
_cell_length_b 9.2209
_cell_length_c 9.2209
_cell_angle_alpha 90.00
_cell_angle_beta 90.00
_cell_angle_gamma 90.00
loop_
_atom_site_label
_atom_site_type_symbol
_atom_site_fract_x
_atom_site_fract_y
_atom_site_fract_z
Sr1 Sr 0.0000 0.0000 0.0000
Fe1 Fe 0.2500 0.2500 0.2500
Sb1 Sb 0.0000 0.3362 0.1628
```

Most intense lines, 10 to 80 degrees two-theta, by angle:
- 2θ 30.66, I = 100
- 2θ 36.46, I = 44
- 2θ 43.91, I = 15
- 2θ 46.18, I = 7
- 2θ 48.36, I = 20
- 2θ 50.47, I = 22
- 2θ 58.35, I = 17
- 2θ 60.22, I = 11
- 2θ 62.05, I = 7
- 2θ 69.09, I = 18
- 2θ 72.48, I = 6
- 2θ 79.10, I = 7


Entry 6:
For LaCo2P2, a DFT-relaxed cell (PBE, the Materials Project) gives the theoretical XRD peak list in this record (Cu Kα X-rays).
Peak positions follow from Bragg's law for the DFT cell and can differ from measured ones.

```
data_LaCo2P2
_space_group_name_H-M_alt 'I 4/m m m'
_space_group_IT_number 139
_space_group_name_Hall '-I 4 2'
_cell_length_a 3.7326
_cell_length_b 3.7326
_cell_length_c 11.4617
_cell_angle_alpha 90.00
_cell_angle_beta 90.00
_cell_angle_gamma 90.00
loop_
_atom_site_label
_atom_site_type_symbol
_atom_site_fract_x
_atom_site_fract_y
_atom_site_fract_z
La1 La 0.0000 0.0000 0.0000
Co1 Co 0.0000 0.5000 0.2500
P1 P 0.0000 0.0000 0.3542
```

Most intense lines, 10 to 80 degrees two-theta, by angle:
- 2θ 25.09, I = 45
- 2θ 31.21, I = 30
- 2θ 33.57, I = 84
- 2θ 37.52, I = 100
- 2θ 46.49, I = 19
- 2θ 48.80, I = 39
- 2θ 55.64, I = 11
- 2θ 59.07, I = 19
- 2θ 59.76, I = 37
- 2θ 60.53, I = 30
- 2θ 69.68, I = 11
- 2θ 71.49, I = 12


Entry 7:
For CaBiO3, a DFT-relaxed cell (PBE, the Materials Project) gives the theoretical XRD peak list in this record (Cu Kα X-rays).
Peak positions follow from Bragg's law for the DFT cell and can differ from measured ones.

```
data_CaBiO3
_space_group_name_H-M_alt 'P n m a'
_space_group_IT_number 62
_space_group_name_Hall '-P 2ac 2n'
_cell_length_a 6.0810
_cell_length_b 8.4139
_cell_length_c 5.8323
_cell_angle_alpha 90.00
_cell_angle_beta 90.00
_cell_angle_gamma 90.00
loop_
_atom_site_label
_atom_site_type_symbol
_atom_site_fract_x
_atom_site_fract_y
_atom_site_fract_z
Ca1 Ca 0.0566 0.2500 0.0107
Bi1 Bi 0.0000 0.0000 0.5000
O1 O 0.0649 0.7500 0.3714
O2 O 0.1891 0.5663 0.8153
```

Most intense lines, 10 to 80 degrees two-theta, by angle:
- 2θ 21.11, I = 94
- 2θ 29.38, I = 25
- 2θ 30.03, I = 100
- 2θ 30.66, I = 22
- 2θ 36.46, I = 12
- 2θ 42.98, I = 35
- 2θ 48.36, I = 34
- 2θ 52.51, I = 21
- 2θ 52.93, I = 12
- 2θ 54.11, I = 25
- 2θ 62.42, I = 13
- 2θ 70.81, I = 17